1.
Diffraction record for NaMg14Zn. The powder diffractogram is theoretical, not measured: it uses DFT lattice parameters and positions (GGA-PBE) and Cu Kα (λ = 1.5418 Å).
Intensities are scaled so that the largest is 100.

Peak list (10 most intense, 2θ = 10–80°, by angle)
2θ/deg, intensity, (hkl)
16.0, 5, 1 0 0
18.2, 9, 1 0 1
32.4, 25, 2 0 0
34.8, 26, 0 0 4
36.9, 100, 2 0 2
48.3, 15, 2 0 4
57.8, 17, 2 2 0
63.7, 18, 2 0 6
69.3, 19, 2 2 4
70.6, 13, 4 0 2

Atomic structure:
```
data_NaMg14Zn
_cell_length_a 6.3778
_cell_length_b 6.3778
_cell_length_c 10.3233
_cell_angle_alpha 90.00
_cell_angle_beta 90.00
_cell_angle_gamma 120.00
_symmetry_space_group_name_H-M 'P -6 m 2'
_symmetry_Int_Tables_number 187
_symmetry_space_group_name_Hall 'P -6 2'
loop_
_atom_site_label
_atom_site_type_symbol
_atom_site_fract_x
_atom_site_fract_y
_atom_site_fract_z
_atom_site_occupancy
Na1 Na 0.0000 0.0000 0.0000 1
Mg1 Mg 0.0021 0.5011 0.0000 1
Mg2 Mg 0.1660 0.3319 0.2570 1
Mg3 Mg 0.5009 0.0019 0.5000 1
Mg4 Mg 0.6667 0.3333 0.2482 1
Zn1 Zn 0.0000 0.0000 0.5000 1
```


2.
Diffraction record for SmAgAs2. The powder diffractogram is theoretical, not measured: it uses DFT lattice parameters and positions (GGA-PBE) and Cu Kα (λ = 1.5418 Å).
Intensities are scaled so that the largest is 100.

Peak list (10 most intense, 2θ = 10–80°, by angle)
2θ/deg, intensity, (hkl)
33.8, 25, 8 0 0
35.7, 100, 4 1 1
44.6, 14, 0 0 2
45.0, 15, 0 2 0
48.4, 8, 10 1 0
57.1, 10, 8 0 2
57.4, 8, 8 2 0
65.2, 9, 0 2 2
76.4, 8, 4 1 3
76.8, 10, 4 3 1

Atomic structure:
```
data_SmAgAs2
_cell_length_a 21.217
_cell_length_b 4.032
_cell_length_c 4.060
_cell_angle_alpha 90.00
_cell_angle_beta 90.00
_cell_angle_gamma 90.00
_symmetry_space_group_name_H-M 'P n m a'
_symmetry_Int_Tables_number 62
_symmetry_space_group_name_Hall '-P 2ac 2n'
loop_
_atom_site_label
_atom_site_type_symbol
_atom_site_fract_x
_atom_site_fract_y
_atom_site_fract_z
_atom_site_occupancy
Sm1 Sm 0.115 0.250 0.230 1
Ag1 Ag 0.250 0.250 0.728 1
As1 As 0.001 0.250 0.706 1
As2 As 0.159 0.750 0.728 1
```


3.
Diffraction record for Er4Al24Pt9. The powder diffractogram is theoretical, not measured: it uses DFT lattice parameters and positions (GGA-PBE) and Cu Kα (λ = 1.5418 Å).
Intensities are scaled so that the largest is 100.

Peak list (10 most intense, 2θ = 10–80°, by angle)
2θ/deg, intensity, (hkl)
20.6, 28, 0 0 3
23.7, 89, 2 1 1
28.7, 93, 1 2 -2
30.1, 100, 2 1 -2
34.8, 22, 0 0 5
34.9, 25, 1 2 4
38.5, 35, 1 2 -4
41.5, 76, 3 0 1
41.6, 37, 3 3 1
44.5, 30, 1 2 -5

Atomic structure:
```
data_Er4Al24Pt9
_cell_length_a 7.522
_cell_length_b 7.522
_cell_length_c 13.145
_cell_angle_alpha 84.59
_cell_angle_beta 79.04
_cell_angle_gamma 60.17
_symmetry_space_group_name_H-M 'P -1'
_symmetry_Int_Tables_number 2
_symmetry_space_group_name_Hall '-P 1'
loop_
_atom_site_label
_atom_site_type_symbol
_atom_site_fract_x
_atom_site_fract_y
_atom_site_fract_z
_atom_site_occupancy
Er1 Er 0.062 0.332 0.308 1
Er2 Er 0.267 0.999 0.692 1
Al1 Al 0.018 0.666 0.444 1
Al2 Al 0.117 0.665 0.171 1
Al3 Al 0.147 0.333 0.059 1
Al4 Al 0.186 0.001 0.941 1
Al5 Al 0.192 0.869 0.315 1
Al6 Al 0.230 0.660 0.830 1
Al7 Al 0.316 0.668 0.547 1
Al8 Al 0.353 0.001 0.444 1
Al9 Al 0.397 0.458 0.316 1
Al10 Al 0.398 0.336 0.683 1
Al11 Al 0.444 0.994 0.171 1
Al12 Al 0.479 0.667 0.062 1
Pt1 Pt 0.000 0.000 0.500 1
Pt2 Pt 0.112 0.009 0.139 1
Pt3 Pt 0.204 0.333 0.861 1
Pt4 Pt 0.328 0.329 0.500 1
Pt5 Pt 0.454 0.325 0.137 1
```


4.
Diffraction record for CeYIn6. The powder diffractogram is theoretical, not measured: it uses DFT lattice parameters and positions (GGA-PBE) and Cu Kα (λ = 1.5418 Å).
Intensities are scaled so that the largest is 100.

Peak list (9 most intense, 2θ = 10–80°, by angle)
2θ/deg, intensity, (hkl)
21.2, 1, 1 0 1
28.6, 1, 0 0 3
33.1, 100, 1 1 2
38.4, 17, 0 0 4
38.5, 33, 2 0 0
55.5, 33, 2 2 0
66.1, 13, 1 1 6
66.3, 26, 3 1 2
69.6, 11, 2 2 4

Atomic structure:
```
data_CeYIn6
_cell_length_a 4.677
_cell_length_b 4.677
_cell_length_c 9.384
_cell_angle_alpha 90.00
_cell_angle_beta 90.00
_cell_angle_gamma 90.00
_symmetry_space_group_name_H-M 'P 4/m m m'
_symmetry_Int_Tables_number 123
_symmetry_space_group_name_Hall '-P 4 2'
loop_
_atom_site_label
_atom_site_type_symbol
_atom_site_fract_x
_atom_site_fract_y
_atom_site_fract_z
_atom_site_occupancy
Ce1 Ce 0.000 0.000 0.000 1
Y1 Y 0.000 0.000 0.500 1
In1 In 0.000 0.500 0.251 1
In2 In 0.500 0.500 0.000 1
In3 In 0.500 0.500 0.500 1
```


5.
Diffraction record for Er2P7Rh12. The powder diffractogram is theoretical, not measured: it uses DFT lattice parameters and positions (GGA-PBE) and Cu Kα (λ = 1.5418 Å).
Intensities are scaled so that the largest is 100.

Peak list (10 most intense, 2θ = 10–80°, by angle)
2θ/deg, intensity, (hkl)
28.4, 14, 1 2 0
36.9, 100, 1 2 1
37.4, 9, 2 2 0
45.8, 7, 4 -3 1
47.1, 15, 0 0 2
47.6, 7, 2 3 0
50.2, 18, 4 1 0
55.9, 6, 1 2 2
63.9, 8, 6 -2 1
71.3, 11, 5 -4 2

Atomic structure:
```
data_Er2P7Rh12
_cell_length_a 9.6108
_cell_length_b 9.6108
_cell_length_c 3.8615
_cell_angle_alpha 90.00
_cell_angle_beta 90.00
_cell_angle_gamma 120.00
_symmetry_space_group_name_H-M 'P -3'
_symmetry_Int_Tables_number 147
_symmetry_space_group_name_Hall '-P 3'
loop_
_atom_site_label
_atom_site_type_symbol
_atom_site_fract_x
_atom_site_fract_y
_atom_site_fract_z
_atom_site_occupancy
Er1 Er 0.3333 0.6667 0.2491 1
P1 P 0.0000 0.0000 0.0000 1
P2 P 0.1191 0.4057 0.7462 1
Rh1 Rh 0.0699 0.6181 0.7488 1
Rh2 Rh 0.1117 0.8497 0.2490 1
```


6.
Diffraction record for Er2SiRh3. The powder diffractogram is theoretical, not measured: it uses DFT lattice parameters and positions (GGA-PBE) and Cu Kα (λ = 1.5418 Å).
Intensities are scaled so that the largest is 100.

Peak list (10 most intense, 2θ = 10–80°, by angle)
2θ/deg, intensity, (hkl)
32.1, 38, 1 1 0
36.2, 71, 1 0 4
38.1, 100, 0 2 1
39.9, 99, 1 1 3
40.5, 33, 2 0 2
43.4, 28, 0 1 5
60.0, 33, 2 1 4
62.6, 26, 3 0 3
67.2, 32, 2 2 0
76.9, 21, 2 0 8

Atomic structure:
```
data_Er2SiRh3
_cell_length_a 5.5704
_cell_length_b 5.5704
_cell_length_c 11.5584
_cell_angle_alpha 90.00
_cell_angle_beta 90.00
_cell_angle_gamma 120.00
_symmetry_space_group_name_H-M 'R -3 m'
_symmetry_Int_Tables_number 166
_symmetry_space_group_name_Hall '-R 3 2"'
loop_
_atom_site_label
_atom_site_type_symbol
_atom_site_fract_x
_atom_site_fract_y
_atom_site_fract_z
_atom_site_occupancy
Er1 Er 0.0000 0.0000 0.1298 1
Si1 Si 0.0000 0.0000 0.5000 1
Rh1 Rh 0.0000 0.5000 0.0000 1
```